For SrZr4As6O24, a crystal structure in the Materials Project, relaxed with PBE gives the calculated powder X-ray diffraction pattern in this record (Cu Kα X-rays).

Principal peaks in the range 5° ≤ 2θ ≤ 70°, by intensity:
two_theta  I/Imax
22.3  100
29.4  68
33.8  34
26.8  27
19.3  25
45.4  21
57.8  18
30.0  17
38.6  16
18.4  16

Atomic structure:
```
SrZr4As6O24
1.0
4.5873 2.6485 8.1169
-4.5873 2.6485 8.1169
0.0000 -5.2970 8.1169
Sr Zr As O
1 4 6 24
Direct
0.0000 0.0000 0.0000
0.1465 0.1465 0.1465
0.3554 0.3554 0.3554
0.6446 0.6446 0.6446
0.8535 0.8535 0.8535
0.0313 0.4625 0.7525
0.2475 0.9687 0.5375
0.4625 0.7525 0.0313
0.5375 0.2475 0.9687
0.7525 0.0313 0.4625
0.9687 0.5375 0.2475
0.0036 0.6236 0.8004
0.0923 0.9058 0.7440
0.0942 0.2560 0.9077
0.1635 0.5164 0.2319
0.1896 0.4716 0.5481
0.1996 0.9964 0.3764
0.2319 0.1635 0.5164
0.2560 0.9077 0.0942
0.3764 0.1996 0.9964
0.4519 0.8104 0.5284
0.4716 0.5481 0.1896
0.4836 0.7681 0.8365
0.5164 0.2319 0.1635
0.5284 0.4519 0.8104
0.5481 0.1896 0.4716
0.6236 0.8004 0.0036
0.7440 0.0923 0.9058
0.7681 0.8365 0.4836
0.8004 0.0036 0.6236
0.8104 0.5284 0.4519
0.8365 0.4836 0.7681
0.9058 0.7440 0.0923
0.9077 0.0942 0.2560
0.9964 0.3764 0.1996
```

***

For Mg16ZrAl12, a crystal structure in the Materials Project, relaxed with PBE gives the calculated powder X-ray diffraction pattern in this record (Cu Kα X-rays).

Principal peaks in the range 5° ≤ 2θ ≤ 70°, by intensity:
two_theta  I/Imax
37.0  100
36.2  98
35.6  55
39.7  50
11.7  34
35.8  34
64.9  27
41.9  21
12.2  16
41.8  16

Atomic structure:
```
Mg16ZrAl12
1.0
7.5646 4.3674 2.9210
-7.5646 4.3674 2.9210
0.0000 -8.7348 2.9210
Mg Zr Al
16 1 12
Direct
0.0000 0.0000 0.0000
0.0017 0.3140 0.6090
0.0017 0.6090 0.3140
0.0080 0.0080 0.3478
0.0080 0.3478 0.0080
0.2831 0.6883 0.6883
0.3140 0.0017 0.6090
0.3140 0.6090 0.0017
0.3478 0.0080 0.0080
0.3982 0.3982 0.7245
0.3982 0.7245 0.3982
0.6090 0.0017 0.3140
0.6090 0.3140 0.0017
0.6883 0.2831 0.6883
0.6883 0.6883 0.2831
0.7245 0.3982 0.3982
0.6320 0.6320 0.6320
0.1939 0.1939 0.8284
0.1939 0.8284 0.1939
0.1971 0.3774 0.3774
0.3774 0.1971 0.3774
0.3774 0.3774 0.1971
0.6373 0.8152 0.9957
0.6373 0.9957 0.8152
0.8152 0.6373 0.9957
0.8152 0.9957 0.6373
0.8284 0.1939 0.1939
0.9957 0.6373 0.8152
0.9957 0.8152 0.6373
```

***

For Ca4Cl6O, a crystal structure in the Materials Project, relaxed with PBE gives the calculated powder X-ray diffraction pattern in this record (Cu Kα X-rays).

Principal peaks in the range 5° ≤ 2θ ≤ 70°, by intensity:
two_theta  I/Imax
32.6  100
34.4  95
36.4  67
39.4  61
11.2  30
45.5  29
25.9  26
40.8  24
39.8  23
65.4  21

Atomic structure:
```
Ca4Cl6O
1.0
9.1434 0.0000 0.0000
-4.5717 7.9184 0.0000
0.0000 0.0000 6.9134
Ca Cl O
8 12 2
Direct
0.1989 0.3978 0.0000
0.1989 0.8011 0.0000
0.3333 0.6667 0.4274
0.3978 0.1989 0.5000
0.6022 0.8011 0.0000
0.6667 0.3333 0.9274
0.8011 0.1989 0.5000
0.8011 0.6022 0.5000
0.0747 0.5374 0.7094
0.1380 0.2760 0.3821
0.1380 0.8620 0.3821
0.2760 0.1380 0.8821
0.4626 0.5374 0.7094
0.4626 0.9253 0.7094
0.5374 0.0747 0.2094
0.5374 0.4626 0.2094
0.7240 0.8620 0.3821
0.8620 0.1380 0.8821
0.8620 0.7240 0.8821
0.9253 0.4626 0.2094
0.3333 0.6667 0.1065
0.6667 0.3333 0.6065
```

***

For Sr3ZrN3, a crystal structure in the Materials Project, relaxed with PBE gives the calculated powder X-ray diffraction pattern in this record (Cu Kα X-rays).

Principal peaks in the range 5° ≤ 2θ ≤ 70°, by intensity:
two_theta  I/Imax
30.1  100
33.3  51
25.0  40
27.3  23
56.3  21
42.1  19
44.0  19
45.9  17
57.5  16
57.9  16

Atomic structure:
```
Sr3ZrN3
1.0
8.2279 0.0000 0.0000
-4.1139 7.1255 0.0000
0.0000 0.0000 5.3856
Sr Zr N
6 2 6
Direct
0.1125 0.3390 0.2500
0.2265 0.8875 0.2500
0.3390 0.2265 0.7500
0.6610 0.7735 0.2500
0.7735 0.1125 0.7500
0.8875 0.6610 0.7500
0.3333 0.6667 0.7500
0.6667 0.3333 0.2500
0.1383 0.3821 0.7500
0.2438 0.8617 0.7500
0.3821 0.2438 0.2500
0.6179 0.7562 0.7500
0.7562 0.1383 0.2500
0.8617 0.6179 0.2500
```

***

For Mg14CuMo, a crystal structure in the Materials Project, relaxed with PBE gives the calculated powder X-ray diffraction pattern in this record (Cu Kα X-rays).

Principal peaks in the range 5° ≤ 2θ ≤ 70°, by intensity:
two_theta  I/Imax
38.0  100
16.4  30
33.1  28
36.7  24
59.1  18
66.9  17
24.5  17
50.2  16
34.0  8
48.2  8

Atomic structure:
```
Mg14CuMo
1.0
6.2506 0.0000 0.0000
-3.1253 5.4132 0.0000
0.0000 0.0000 9.7947
Mg Cu Mo
14 1 1
Direct
0.0000 0.0000 0.2488
0.0000 0.0000 0.7512
0.0158 0.5079 0.2490
0.0158 0.5079 0.7510
0.3323 0.1662 0.5000
0.3364 0.1682 0.0000
0.4921 0.5079 0.2490
0.4921 0.5079 0.7510
0.4921 0.9842 0.2490
0.4921 0.9842 0.7510
0.8318 0.1682 0.0000
0.8318 0.6636 0.0000
0.8338 0.1662 0.5000
0.8338 0.6677 0.5000
0.3333 0.6667 0.5000
0.3333 0.6667 0.0000
```

***

For FeCo3, a crystal structure in the Materials Project, relaxed with PBE gives the calculated powder X-ray diffraction pattern in this record (Cu Kα X-rays).

Principal peaks in the range 5° ≤ 2θ ≤ 70°, by intensity:
two_theta  I/Imax
44.3  100
51.6  46

Atomic structure:
```
FeCo3
1.0
3.5418 0.0000 0.0000
0.0000 3.5418 0.0000
0.0000 0.0000 3.5418
Fe Co
1 3
Direct
0.0000 0.0000 0.0000
0.0000 0.5000 0.5000
0.5000 0.0000 0.5000
0.5000 0.5000 0.0000
```

***

For V3Os, a crystal structure in the Materials Project, relaxed with PBE gives the calculated powder X-ray diffraction pattern in this record (Cu Kα X-rays).

Principal peaks in the range 5° ≤ 2θ ≤ 70°, by intensity:
two_theta  I/Imax
42.6  100
25.7  41
29.8  21
50.4  21
61.8  16
68.1  9
52.8  6

Atomic structure:
```
V3Os
1.0
6.0012 0.0000 0.0000
0.0000 6.0012 0.0000
0.0000 0.0000 6.0012
V Os
12 4
Direct
0.0000 0.0000 0.0000
0.0000 0.5000 0.5000
0.2500 0.2500 0.2500
0.2500 0.2500 0.7500
0.2500 0.7500 0.2500
0.2500 0.7500 0.7500
0.5000 0.0000 0.5000
0.5000 0.5000 0.0000
0.7500 0.2500 0.2500
0.7500 0.2500 0.7500
0.7500 0.7500 0.2500
0.7500 0.7500 0.7500
0.0000 0.0000 0.5000
0.0000 0.5000 0.0000
0.5000 0.0000 0.0000
0.5000 0.5000 0.5000
```